1.
Nd3In7Rh4: computed powder diffraction line list (Cu Ka), based on a cell relaxed with GGA-PBE.
Neutral-atom scattering factors, no anomalous dispersion.

Atomic structure:
abc: 8.5710 8.5710 10.0671
angles: 121.43 121.43 30.43
Atoms (fractional coordinates):
Nd 0.0000 0.0000 0.0000
Nd 0.3075 0.3075 0.2963
Nd 0.6925 0.6925 0.7037
In 0.0000 0.0000 0.5000
In 0.1618 0.1618 0.4277
In 0.3154 0.3154 0.9724
In 0.4938 0.4938 0.7155
In 0.5062 0.5062 0.2845
In 0.6846 0.6846 0.0276
In 0.8382 0.8382 0.5723
Rh 0.1129 0.1129 0.8340
Rh 0.3337 0.3337 0.7223
Rh 0.6663 0.6663 0.2777
Rh 0.8871 0.8871 0.1660

Most intense lines, 2θ = 15–90°, by angle:
- 2θ 32.11, rel. 100
- 2θ 33.20, rel. 36
- 2θ 33.38, rel. 45
- 2θ 33.84, rel. 92
- 2θ 38.82, rel. 42
- 2θ 40.09, rel. 76

=====

2.
Mn2Pt2Rh15: computed powder diffraction line list (Cu Ka), based on a cell relaxed with GGA-PBE.
Neutral-atom scattering factors, no anomalous dispersion.

Atomic structure:
abc: 6.7557 6.7557 6.7557
angles: 80.61 80.61 80.61
Atoms (fractional coordinates):
Mn 0.0983 0.0983 0.0983
Mn 0.9017 0.9017 0.9017
Pt 0.2901 0.2901 0.2901
Pt 0.7099 0.7099 0.7099
Rh 0.0000 0.0000 0.5000
Rh 0.0000 0.3088 0.6912
Rh 0.0000 0.5000 0.0000
Rh 0.0000 0.6912 0.3088
Rh 0.1571 0.6470 0.6470
Rh 0.3088 0.0000 0.6912
Rh 0.3088 0.6912 0.0000
Rh 0.3530 0.3530 0.8429
Rh 0.3530 0.8429 0.3530
Rh 0.5000 0.0000 0.0000
Rh 0.6470 0.1571 0.6470
Rh 0.6470 0.6470 0.1571
Rh 0.6912 0.0000 0.3088
Rh 0.6912 0.3088 0.0000
Rh 0.8429 0.3530 0.3530

Most intense lines, 2θ = 15–90°, by angle:
- 2θ 35.59, rel. 28
- 2θ 40.15, rel. 19
- 2θ 41.05, rel. 100
- 2θ 41.32, rel. 40
- 2θ 45.40, rel. 22
- 2θ 46.21, rel. 46

=====

3.
Li3Np3MoN8: computed powder diffraction line list (Cu Ka), based on a cell relaxed with GGA-PBE.
Neutral-atom scattering factors, no anomalous dispersion.

Atomic structure:
abc: 6.3360 6.3360 6.3360
angles: 63.33 63.33 63.33
Atoms (fractional coordinates):
Li 0.0000 0.5000 0.5000
Li 0.5000 0.0000 0.5000
Li 0.5000 0.5000 0.0000
Np 0.0000 0.0000 0.5000
Np 0.0000 0.5000 0.0000
Np 0.5000 0.0000 0.0000
Mo 0.5000 0.5000 0.5000
N 0.2394 0.2394 0.2394
N 0.2517 0.7263 0.7263
N 0.2737 0.2737 0.7483
N 0.2737 0.7483 0.2737
N 0.7263 0.2517 0.7263
N 0.7263 0.7263 0.2517
N 0.7483 0.2737 0.2737
N 0.7606 0.7606 0.7606

Most intense lines, 2θ = 15–90°, by angle:
- 2θ 17.60, rel. 100
- 2θ 31.62, rel. 66
- 2θ 33.29, rel. 48
- 2θ 39.33, rel. 51
- 2θ 43.39, rel. 26
- 2θ 58.42, rel. 41

=====

4.
YBi3Se2ClO8: computed powder diffraction line list (Cu Ka), based on a cell relaxed with GGA-PBE.
Neutral-atom scattering factors, no anomalous dispersion.

Atomic structure:
abc: 7.7285 9.7530 7.7335
angles: 90.00 90.00 90.00
Atoms (fractional coordinates):
Y 0.2500 0.2500 0.1734
Y 0.7500 0.7500 0.8266
Bi 0.0000 0.0000 0.5000
Bi 0.0000 0.5000 0.5000
Bi 0.2500 0.2500 0.6483
Bi 0.5000 0.0000 0.5000
Bi 0.5000 0.5000 0.5000
Bi 0.7500 0.7500 0.3517
Se 0.2500 0.5703 0.9174
Se 0.2500 0.9297 0.9174
Se 0.7500 0.0703 0.0826
Se 0.7500 0.4297 0.0826
Cl 0.2500 0.7500 0.4231
Cl 0.7500 0.2500 0.5769
O 0.0705 0.5948 0.7877
O 0.0705 0.9052 0.7877
O 0.2500 0.1021 0.3879
O 0.2500 0.1088 0.9361
O 0.2500 0.3912 0.9361
O 0.2500 0.3979 0.3879
O 0.4295 0.5948 0.7877
O 0.4295 0.9052 0.7877
O 0.5705 0.0948 0.2123
O 0.5705 0.4052 0.2123
O 0.7500 0.6021 0.6121
O 0.7500 0.6088 0.0639
O 0.7500 0.8912 0.0639
O 0.7500 0.8979 0.6121
O 0.9295 0.0948 0.2123
O 0.9295 0.4052 0.2123

Most intense lines, 2θ = 15–90°, by angle:
- 2θ 24.77, rel. 22
- 2θ 25.77, rel. 32
- 2θ 29.49, rel. 86
- 2θ 29.81, rel. 25
- 2θ 31.73, rel. 100
- 2θ 50.13, rel. 20

=====

5.
TeAsH2S4: computed powder diffraction line list (Cu Ka), based on a cell relaxed with GGA-PBE.
Neutral-atom scattering factors, no anomalous dispersion.

Atomic structure:
abc: 7.6400 8.1831 8.6505
angles: 101.44 115.61 106.68
Atoms (fractional coordinates):
Te 0.0000 0.0000 0.0000
Te 0.3006 0.6935 0.0493
As 0.5792 0.1101 0.4850
As 0.6917 0.2099 0.1413
H 0.0137 0.3014 0.6005
H 0.7202 0.7238 0.6355
H 0.7513 0.5167 0.0409
H 0.9988 0.5523 0.4290
S 0.0444 0.4217 0.3529
S 0.0717 0.8325 0.1870
S 0.2432 0.8468 0.8527
S 0.5385 0.2882 0.3079
S 0.5704 0.3568 0.9430
S 0.6429 0.7833 0.7389
S 0.6530 0.9033 0.3288
S 0.9379 0.2721 0.7140

Most intense lines, 2θ = 15–90°, by angle:
- 2θ 18.82, rel. 63
- 2θ 22.33, rel. 68
- 2θ 22.67, rel. 66
- 2θ 27.53, rel. 89
- 2θ 27.76, rel. 100
- 2θ 30.90, rel. 94

=====

6.
Dy2Al5Co3: computed powder diffraction line list (Cu Ka), based on a cell relaxed with GGA-PBE.
Neutral-atom scattering factors, no anomalous dispersion.

Atomic structure:
abc: 12.3505 12.3505 6.6717
angles: 90.00 90.00 161.04
Atoms (fractional coordinates):
Dy 0.0270 0.9730 0.5000
Dy 0.3246 0.6754 0.5847
Dy 0.6754 0.3246 0.0847
Dy 0.9730 0.0270 0.0000
Al 0.0963 0.9037 0.8857
Al 0.2078 0.7922 0.3991
Al 0.2131 0.7869 0.7876
Al 0.3684 0.6316 0.0564
Al 0.4448 0.5552 0.6670
Al 0.5552 0.4448 0.1670
Al 0.6316 0.3684 0.5564
Al 0.7869 0.2131 0.2876
Al 0.7922 0.2078 0.8991
Al 0.9037 0.0963 0.3857
Co 0.1111 0.8889 0.2560
Co 0.2683 0.7317 0.0952
Co 0.4536 0.5464 0.2902
Co 0.5464 0.4536 0.7902
Co 0.7317 0.2683 0.5952
Co 0.8889 0.1111 0.7560

Most intense lines, 2θ = 15–90°, by angle:
- 2θ 19.74, rel. 21
- 2θ 24.47, rel. 20
- 2θ 36.55, rel. 100
- 2θ 39.37, rel. 21
- 2θ 44.54, rel. 20
- 2θ 60.93, rel. 12